Entry 1:
The following is a theoretical X-ray diffraction stick pattern of Ta2Ti4Mo2W. It was derived from the PBE geometry in Alexandria, using λ = 1.5418 Å (Cu Kα).

Structural model:
Cell lengths 5.320, 5.334, 5.338 Å; angles 93.90, 93.94, 93.67 degrees
Element x y z (fractional)
Ta  0.100  0.264  0.435
Ta  0.900  0.736  0.565
Ti  0.239  0.065  0.906
Ti  0.435  0.594  0.764
Ti  0.565  0.406  0.236
Ti  0.761  0.935  0.094
Mo  0.330  0.832  0.332
Mo  0.670  0.168  0.668
W  0.000  0.500  0.000

Principal peaks in the range 10° ≤ 2θ ≤ 90°, in order of rising 2θ:
| 2theta | d (Å) | I (rel.) |
| --- | --- | --- |
| 16.73 | 5.299 | 39 |
| 24.56 | 3.624 | 16 |
| 39.04 | 2.307 | 100 |
| 40.03 | 2.252 | 32 |
| 40.16 | 2.246 | 63 |
| 57.14 | 1.612 | 21 |

***

Entry 2:
The following is a theoretical X-ray diffraction stick pattern of Tm2Al9Co3. It was derived from the PBE geometry in Alexandria, using λ = 1.5418 Å (Cu Kα).

Structural model:
Cell lengths 7.388, 7.388, 10.218 Å; angles 111.35, 111.35, 59.57 degrees
Element x y z (fractional)
Tm  0.087  0.253  0.250
Tm  0.253  0.087  0.750
Tm  0.747  0.913  0.250
Tm  0.913  0.747  0.750
Al  0.020  0.860  0.071
Al  0.140  0.980  0.429
Al  0.189  0.357  0.569
Al  0.206  0.581  0.252
Al  0.315  0.486  0.952
Al  0.357  0.189  0.069
Al  0.363  0.637  0.750
Al  0.419  0.794  0.248
Al  0.486  0.315  0.452
Al  0.514  0.685  0.548
Al  0.581  0.206  0.752
Al  0.637  0.363  0.250
Al  0.643  0.811  0.931
Al  0.685  0.514  0.048
Al  0.794  0.419  0.748
Al  0.811  0.643  0.431
Al  0.860  0.020  0.571
Al  0.980  0.140  0.929
Co  0.000  0.500  0.000
Co  0.157  0.671  0.499
Co  0.329  0.843  0.001
Co  0.500  0.000  0.500
Co  0.671  0.157  0.999
Co  0.843  0.329  0.501

Principal peaks in the range 10° ≤ 2θ ≤ 90°, in order of rising 2θ:
| 2theta | d (Å) | I (rel.) |
| --- | --- | --- |
| 25.96 | 3.432 | 81 |
| 30.94 | 2.890 | 61 |
| 37.95 | 2.371 | 100 |
| 38.06 | 2.364 | 50 |
| 38.83 | 2.319 | 43 |
| 42.57 | 2.124 | 83 |

***

Entry 3:
The following is a theoretical X-ray diffraction stick pattern of BaSr8Ca3. It was derived from the PBE geometry in Alexandria, using λ = 1.5418 Å (Cu Kα).

Structural model:
Cell lengths 7.266, 7.266, 13.695 Å; angles 90.00, 90.00, 120.00 degrees
Element x y z (fractional)
Ba  0.000  0.000  0.000
Sr  0.000  0.334  0.741
Sr  0.000  0.666  0.259
Sr  0.333  0.667  0.000
Sr  0.334  0.000  0.741
Sr  0.334  0.334  0.259
Sr  0.666  0.000  0.259
Sr  0.666  0.666  0.741
Sr  0.667  0.333  0.000
Ca  0.000  0.000  0.500
Ca  0.333  0.667  0.500
Ca  0.667  0.333  0.500

Principal peaks in the range 10° ≤ 2θ ≤ 90°, in order of rising 2θ:
| 2theta | d (Å) | I (rel.) |
| --- | --- | --- |
| 25.36 | 3.512 | 63 |
| 26.03 | 3.424 | 36 |
| 27.80 | 3.209 | 100 |
| 31.47 | 2.843 | 33 |
| 43.13 | 2.098 | 28 |
| 51.06 | 1.789 | 33 |

***

Entry 4:
The following is a theoretical X-ray diffraction stick pattern of AlGaBi. It was derived from the PBE geometry in Alexandria, using λ = 1.5418 Å (Cu Kα).

Structural model:
Cell lengths 3.399, 3.399, 12.081 Å; angles 90.00, 90.00, 90.00 degrees
Element x y z (fractional)
Al  0.000  0.000  0.000
Al  0.500  0.500  0.500
Ga  0.000  0.000  0.624
Ga  0.500  0.500  0.124
Bi  0.000  0.000  0.320
Bi  0.500  0.500  0.820

Principal peaks in the range 10° ≤ 2θ ≤ 90°, in order of rising 2θ:
| 2theta | d (Å) | I (rel.) |
| --- | --- | --- |
| 14.66 | 6.040 | 37 |
| 27.26 | 3.272 | 64 |
| 34.53 | 2.597 | 100 |
| 37.42 | 2.403 | 43 |
| 48.40 | 1.881 | 22 |
| 65.66 | 1.422 | 32 |